# 1
# Na3HgPd2
Simulated X-ray diffraction stick pattern, Cu Kα X-rays. Input: a structure optimized by DFT (PBE).

Largest 10 diffraction maxima, by angle, 2θ from 10° to 90°:
Position (°2θ)  I_rel
18.00  67
26.44  18
33.60  57
36.47  24
38.37  100
50.42  36
63.27  23
66.90  19
72.36  12
82.19  13

Structure:
```
data_Na3HgPd2
_chemical_formula_sum 'Na3 Hg1 Pd2'
_symmetry_space_group_name_H-M 'P 6/m m m'
_symmetry_Int_Tables_number 191
_symmetry_space_group_name_Hall '-P 6 2'
_cell_length_a 5.3347
_cell_length_b 5.3347
_cell_length_c 4.9278
_cell_angle_alpha 90.00
_cell_angle_beta 90.00
_cell_angle_gamma 120.00
loop_
_atom_site_label
_atom_site_fract_x
_atom_site_fract_y
_atom_site_fract_z
_atom_site_occupancy
Na1 0.0000 0.5000 0.0000 1
Hg1 0.0000 0.0000 0.5000 1
Pd1 0.3333 0.6667 0.5000 1
```


# 2
# Na2Hg3Pd
Simulated X-ray diffraction stick pattern, Cu Kα X-rays. Input: a structure optimized by DFT (PBE).

Largest 10 diffraction maxima, by angle, 2θ from 10° to 90°:
Position (°2θ)  I_rel
16.50  86
22.79  56
25.76  21
31.22  40
35.09  57
37.70  39
37.82  100
46.33  33
46.55  22
74.15  24

Structure:
```
data_Na2Hg3Pd
_chemical_formula_sum 'Na4 Hg6 Pd2'
_symmetry_space_group_name_H-M 'P n n m'
_symmetry_Int_Tables_number 58
_cell_length_a 5.6761
_cell_length_b 10.7474
_cell_length_c 4.7722
_cell_angle_alpha 90.00
_cell_angle_beta 90.00
_cell_angle_gamma 90.00
loop_
_symmetry_equiv_pos_as_xyz
'x,y,z'
'-x,-y,-z'
'-x,-y,z'
'x,y,-z'
'x+1/2,-y+1/2,-z+1/2'
'-x+1/2,y+1/2,z+1/2'
'-x+1/2,y+1/2,-z+1/2'
'x+1/2,-y+1/2,z+1/2'
loop_
_atom_site_label
_atom_site_fract_x
_atom_site_fract_y
_atom_site_fract_z
_atom_site_occupancy
Na1 0.2128 0.2148 0.0000 1
Hg1 0.0000 0.0000 0.5000 1
Hg2 0.2107 0.4051 0.5000 1
Pd1 0.0000 0.5000 0.0000 1
```


# 3
# NaHg8Pd4
Simulated X-ray diffraction stick pattern, Cu Kα X-rays. Input: a structure optimized by DFT (PBE).

Largest 10 diffraction maxima, by angle, 2θ from 10° to 90°:
Position (°2θ)  I_rel
25.99  37
30.37  26
31.57  24
35.68  18
36.73  45
37.08  51
40.38  100
41.33  20
41.65  19
66.61  21

Structure:
```
data_NaHg8Pd4
_chemical_formula_sum 'Na2 Hg16 Pd8'
_symmetry_space_group_name_H-M 'I 4/m m m'
_symmetry_Int_Tables_number 139
_symmetry_space_group_name_Hall '-I 4 2'
_cell_length_a 9.6983
_cell_length_b 9.6983
_cell_length_c 5.8870
_cell_angle_alpha 90.00
_cell_angle_beta 90.00
_cell_angle_gamma 90.00
loop_
_atom_site_label
_atom_site_fract_x
_atom_site_fract_y
_atom_site_fract_z
_atom_site_occupancy
Na1 0.0000 0.0000 0.0000 1
Hg1 0.0000 0.2231 0.5000 1
Hg2 0.0000 0.3162 0.0000 1
Pd1 0.2500 0.2500 0.2500 1
```


# 4
# NaHg4Pd5
Simulated X-ray diffraction stick pattern, Cu Kα X-rays. Input: a structure optimized by DFT (PBE).

Largest 10 diffraction maxima, by angle, 2θ from 10° to 90°:
Position (°2θ)  I_rel
11.50  7
37.47  100
41.55  39
47.33  13
60.15  6
60.28  6
64.78  20
73.12  28
80.01  6
81.43  11

Structure:
```
data_NaHg4Pd5
_chemical_formula_sum 'Na1 Hg4 Pd5'
_symmetry_space_group_name_H-M 'P m m m'
_symmetry_Int_Tables_number 47
_cell_length_a 3.0708
_cell_length_b 3.8408
_cell_length_c 15.3844
_cell_angle_alpha 90.00
_cell_angle_beta 90.00
_cell_angle_gamma 90.00
loop_
_symmetry_equiv_pos_as_xyz
'x,y,z'
'-x,-y,-z'
'-x,-y,z'
'x,y,-z'
'x,-y,-z'
'-x,y,z'
'-x,y,-z'
'x,-y,z'
loop_
_atom_site_label
_atom_site_fract_x
_atom_site_fract_y
_atom_site_fract_z
_atom_site_occupancy
Na1 0.0000 0.0000 0.0000 1
Hg1 0.0000 0.0000 0.1979 1
Hg2 0.0000 0.0000 0.3998 1
Pd1 0.5000 0.5000 0.1061 1
Pd2 0.5000 0.5000 0.3010 1
Pd3 0.5000 0.5000 0.5000 1
```